Diffraction record for NaCaScCl6. The X-ray diffraction stick pattern is computed, not measured: it uses a structure optimized by DFT (PBE) and Cu Kα (λ = 1.5418 Å).
Intensities are scaled so that the largest is 100.

Top 12 peaks for 2θ from 5° to 70°, sorted by position:
d = 6.152 Å, 2θ = 14.40°, rel. 22
d = 5.896 Å, 2θ = 15.03°, rel. 12
d = 4.257 Å, 2θ = 20.87°, rel. 36
d = 3.076 Å, 2θ = 29.03°, rel. 5
d = 2.978 Å, 2θ = 30.00°, rel. 100
d = 2.658 Å, 2θ = 33.71°, rel. 9
d = 2.282 Å, 2θ = 39.48°, rel. 59
d = 2.095 Å, 2θ = 43.18°, rel. 12
d = 1.965 Å, 2θ = 46.19°, rel. 34
d = 1.757 Å, 2θ = 52.06°, rel. 19
d = 1.640 Å, 2θ = 56.07°, rel. 10
d = 1.489 Å, 2θ = 62.35°, rel. 12

Unit cell a=6.808 b=6.808 c=12.305 alpha=90.00 beta=90.00 gamma=120.00
Sites, in units of the cell vectors:
Na1 0.000 0.000 0.000
Na2 0.000 0.000 0.500
Ca1 0.333 0.667 0.250
Ca2 0.667 0.333 0.750
Sc1 0.333 0.667 0.750
Sc2 0.667 0.333 0.250
Cl1 0.027 0.369 0.633
Cl2 0.027 0.658 0.867
Cl3 0.342 0.369 0.867
Cl4 0.342 0.973 0.633
Cl5 0.369 0.027 0.133
Cl6 0.369 0.342 0.367
Cl7 0.631 0.658 0.633
Cl8 0.631 0.973 0.867
Cl9 0.658 0.027 0.367
Cl10 0.658 0.631 0.133
Cl11 0.973 0.342 0.133
Cl12 0.973 0.631 0.367